No. 1
# ErMg14Zn
Simulated X-ray powder pattern, a wavelength of 1.5418 Å. Input: DFT lattice parameters and positions (GGA-PBE).

Crystal structure
```
data_ErMg14Zn
_chemical_formula_sum 'Er1 Mg14 Zn1'
_cell_length_a 6.712
_cell_length_b 6.712
_cell_length_c 8.194
_cell_angle_alpha 90.00
_cell_angle_beta 90.00
_cell_angle_gamma 90.00
_symmetry_space_group_name_H-M 'P 4/m m m'
_symmetry_Int_Tables_number 123
_symmetry_space_group_name_Hall '-P 4 2'
loop_
_atom_site_label
_atom_site_fract_x
_atom_site_fract_y
_atom_site_fract_z
Er1 0.000 0.000 0.000
Mg1 0.000 0.000 0.500
Mg2 0.000 0.500 0.000
Mg3 0.000 0.500 0.500
Mg4 0.258 0.258 0.248
Mg5 0.500 0.500 0.500
Zn1 0.500 0.500 0.000
```

Most intense lines, 2θ = 10–90°, most intense first:
Position (°2θ)	I (rel.)
34.5	100
37.9	46
21.6	39
10.8	37
28.8	30
66.3	28
18.7	22
59.6	22
54.7	18
44.1	15

No. 2
# NiPt2
Simulated X-ray powder pattern, a wavelength of 1.5418 Å. Input: DFT lattice parameters and positions (GGA-PBE).

Crystal structure
```
data_NiPt2
_chemical_formula_sum 'Ni4 Pt8'
_cell_length_a 6.631
_cell_length_b 5.465
_cell_length_c 4.750
_cell_angle_alpha 90.00
_cell_angle_beta 90.53
_cell_angle_gamma 90.00
_symmetry_space_group_name_H-M 'P 1 21/c 1'
_symmetry_Int_Tables_number 14
_symmetry_space_group_name_Hall '-P 2ybc'
loop_
_atom_site_label
_atom_site_fract_x
_atom_site_fract_y
_atom_site_fract_z
Ni1 0.164 0.125 0.419
Pt1 0.156 0.625 0.407
Pt2 0.496 0.126 0.747
```

Most intense lines, 2θ = 10–90°, most intense first:
Position (°2θ)	I (rel.)
40.4	100
47.3	42
40.8	32
46.9	22
68.5	14
69.0	14
83.1	12
82.6	9
82.9	8
21.1	8